[1]
Structure and simulated powder diffraction line list of DySi (a GGA-PBE-relaxed structure; a wavelength of 1.5418 Å).
Peak positions follow from Bragg's law for the DFT cell and can differ from measured ones.

Structure:
```
DySi
1.0
7.9166 0.0000 0.0000
0.0000 3.8348 0.0000
0.0000 0.0000 5.6971
Dy Si
4 4
direct
0.1795 0.2500 0.1146
0.3205 0.7500 0.6146
0.6795 0.2500 0.3854
0.8205 0.7500 0.8854
0.0379 0.2500 0.6295
0.4621 0.7500 0.1295
0.5379 0.2500 0.8705
0.9621 0.7500 0.3705
```

Top 10 peaks for 2θ = 10–90°, sorted by position:
27.4°, rel. 308; 28.0°, rel. 398; 30.3°, rel. 1000; 32.5°, rel. 724; 33.4°, rel. 804; 36.2°, rel. 417; 37.6°, rel. 451; 41.1°, rel. 370; 53.0°, rel. 403; 59.3°, rel. 312

[2]
Structure and simulated powder diffraction line list of Te2Mo2WSe2S2 (a GGA-PBE-relaxed structure; a wavelength of 1.5418 Å).
Peak positions follow from Bragg's law for the DFT cell and can differ from measured ones.

Structure:
```
Te2Mo2WSe2S2
1.0
3.3465 0.0000 0.0000
-1.6732 2.8981 0.0000
0.0000 0.0000 30.9696
Te Mo W Se S
2 2 1 2 2
direct
0.0000 0.0000 0.0000
0.0000 0.0000 0.1223
0.0000 0.0000 0.2926
0.6667 0.3333 0.0611
0.6667 0.3333 0.5238
0.6667 0.3333 0.2388
0.6667 0.3333 0.3463
0.0000 0.0000 0.4747
0.0000 0.0000 0.5730
```

Top 10 peaks for 2θ = 10–90°, sorted by position:
11.4°, rel. 1000; 14.3°, rel. 195; 30.9°, rel. 309; 31.0°, rel. 247; 33.0°, rel. 175; 35.5°, rel. 491; 37.1°, rel. 592; 42.7°, rel. 234; 44.9°, rel. 407; 54.9°, rel. 302

[3]
Structure and simulated powder diffraction line list of In3SnI5 (a GGA-PBE-relaxed structure; a wavelength of 1.5418 Å).
Peak positions follow from Bragg's law for the DFT cell and can differ from measured ones.

Structure:
```
In3SnI5
1.0
9.0912 0.0000 0.0000
0.0000 9.0589 0.0000
-2.9293 0.0000 17.5339
In Sn I
12 4 20
direct
0.1101 0.1040 0.2507
0.1101 0.3960 0.7507
0.2201 0.0455 0.5278
0.2201 0.4545 0.0278
0.3852 0.6783 0.7497
0.3852 0.8217 0.2497
0.6148 0.1783 0.7503
0.6148 0.3217 0.2503
0.7799 0.5455 0.9722
0.7799 0.9545 0.4722
0.8899 0.6040 0.2493
0.8899 0.8960 0.7493
0.2963 0.0367 0.9141
0.2963 0.4633 0.4141
0.7037 0.5367 0.5859
0.7037 0.9633 0.0859
0.0062 0.7096 0.6062
0.0062 0.7904 0.1062
0.1318 0.7219 0.8867
0.1318 0.7781 0.3867
0.2515 0.0374 0.7387
0.2515 0.4626 0.2387
0.3853 0.1221 0.1037
0.3853 0.3779 0.6037
0.4545 0.1491 0.3974
0.4545 0.3509 0.8974
0.5455 0.6491 0.1026
0.5455 0.8509 0.6026
0.6147 0.6221 0.3963
0.6147 0.8779 0.8963
0.7485 0.5374 0.7613
0.7485 0.9626 0.2613
0.8682 0.2219 0.6133
0.8682 0.2781 0.1133
0.9938 0.2096 0.8938
0.9938 0.2904 0.3938
```

Top 10 peaks for 2θ = 10–90°, sorted by position:
25.7°, rel. 409; 25.8°, rel. 269; 27.8°, rel. 1000; 28.0°, rel. 339; 30.6°, rel. 494; 31.1°, rel. 693; 31.3°, rel. 420; 31.4°, rel. 287; 32.5°, rel. 183; 41.2°, rel. 223

[4]
Structure and simulated powder diffraction line list of VCu12SnAs2S16 (a GGA-PBE-relaxed structure; a wavelength of 1.5418 Å).
Peak positions follow from Bragg's law for the DFT cell and can differ from measured ones.

Structure:
```
VCu12SnAs2S16
1.0
-5.3118 5.3118 5.3031
5.3118 -5.3118 5.3031
5.3118 5.3118 -5.3031
V Cu Sn As S
1 12 1 2 16
direct
0.0000 0.0000 0.0000
0.0016 0.7520 0.2522
0.2480 0.5003 0.2497
0.2487 0.7502 0.0000
0.2498 0.2498 0.4985
0.2506 0.9984 0.7503
0.5003 0.2480 0.2497
0.4997 0.7494 0.7478
0.7494 0.4997 0.7478
0.7502 0.2487 0.0000
0.7513 0.7513 0.5015
0.7520 0.0016 0.2522
0.9984 0.2506 0.7503
0.5000 0.5000 0.0000
0.0000 0.5000 0.5000
0.5000 0.0000 0.5000
0.9995 0.9995 0.2398
0.0005 0.2403 0.0000
0.9997 0.5009 0.7524
0.0003 0.7527 0.5012
0.2315 0.2315 0.7324
0.2403 0.0005 0.0000
0.2473 0.7485 0.2476
0.2515 0.4991 0.4988
0.4991 0.2515 0.4988
0.4991 0.4991 0.2676
0.5009 0.9997 0.7524
0.5009 0.7685 0.0000
0.7485 0.2473 0.2476
0.7527 0.0003 0.5012
0.7597 0.7597 0.7602
0.7685 0.5009 0.0000
```

Top 10 peaks for 2θ = 10–90°, sorted by position:
29.1°, rel. 1000; 31.5°, rel. 13; 33.8°, rel. 125; 48.5°, rel. 590; 57.6°, rel. 396; 60.4°, rel. 32; 71.0°, rel. 58; 71.1°, rel. 29; 78.5°, rel. 151; 81.0°, rel. 25

[5]
Structure and simulated powder diffraction line list of Na2Ca3Ta2O9 (a GGA-PBE-relaxed structure; a wavelength of 1.5418 Å).
Peak positions follow from Bragg's law for the DFT cell and can differ from measured ones.

Structure:
```
Na2Ca3Ta2O9
1.0
2.8441 1.6420 8.1881
-2.8441 1.6420 8.1881
0.0000 -3.2841 8.1881
Na Ca Ta O
2 3 2 9
direct
0.1995 0.1995 0.1995
0.8005 0.8005 0.8005
0.3715 0.3715 0.3715
0.5000 0.5000 0.5000
0.6285 0.6285 0.6285
0.0641 0.0641 0.0641
0.9359 0.9359 0.9359
0.0000 0.7416 0.2584
0.1865 0.7867 0.3429
0.2133 0.8135 0.6571
0.2584 0.0000 0.7416
0.3429 0.1865 0.7867
0.6571 0.2133 0.8135
0.7416 0.2584 0.0000
0.7867 0.3429 0.1865
0.8135 0.6571 0.2133
```

Top 10 peaks for 2θ = 10–90°, sorted by position:
10.8°, rel. 205; 18.4°, rel. 889; 19.4°, rel. 1000; 31.3°, rel. 769; 31.5°, rel. 857; 34.4°, rel. 197; 38.5°, rel. 153; 45.0°, rel. 415; 46.1°, rel. 511; 55.9°, rel. 561

[6]
Structure and simulated powder diffraction line list of CaN2 (a GGA-PBE-relaxed structure; a wavelength of 1.5418 Å).
Peak positions follow from Bragg's law for the DFT cell and can differ from measured ones.

Structure:
```
CaN2
1.0
-1.8113 1.8113 2.9836
1.8113 -1.8113 2.9836
1.8113 1.8113 -2.9836
Ca N
1 2
direct
0.0000 0.0000 0.0000
0.3947 0.3947 0.0000
0.6053 0.6053 0.0000
```

Top 10 peaks for 2θ = 10–90°, sorted by position:
28.8°, rel. 282; 29.9°, rel. 392; 35.0°, rel. 1000; 46.7°, rel. 397; 50.4°, rel. 293; 52.5°, rel. 312; 59.7°, rel. 173; 75.7°, rel. 180; 84.6°, rel. 101; 85.7°, rel. 96